Simulated powder diffractogram of TaCrCdO6 for Cu Kα, from a PBE+U-relaxed structure.
Kinematic intensities with the Lorentz-polarization factor, no thermal factor.

Structure:
```
TaCrCdO6
1.0
4.7878 0.0000 0.0000
0.0000 4.7878 0.0000
0.0000 0.0000 9.4418
Ta Cr Cd O
2 2 2 12
Cartesian
0.0000 0.0000 0.0000
2.3939 2.3939 4.7209
0.0000 0.0000 3.0828
2.3939 2.3939 7.8037
0.0000 0.0000 6.2405
2.3939 2.3939 1.5196
0.8440 0.8440 1.6035
1.0314 1.0314 4.4520
1.1107 1.1107 8.0828
1.2832 3.5045 3.3619
1.3625 3.4252 9.1728
1.5499 3.2378 6.3244
3.2378 1.5499 6.3244
3.4252 1.3625 9.1728
3.5045 1.2832 3.3619
3.6771 3.6771 8.0828
3.7564 3.7564 4.4520
3.9438 3.9438 1.6035
```

Principal peaks in the range 2θ from 5° to 70°, in order of falling intensity:
2θ/deg  Rel. int.
26.3  100.0
34.1  83.0
51.6  63.1
20.8  27.4
37.6  21.7
65.6  17.7
54.2  17.2
61.2  15.6
65.4  14.2
32.5  11.7